This entry pairs a crystal structure of LaAl3Cu with its simulated powder X-ray diffraction pattern. Radiation: Cu Kα (λ = 1.5418 Å). Structure: DFT lattice parameters and positions (PBE).

Crystal structure
```
LaAl3Cu
1.0
-2.155 2.155 5.358
2.155 -2.155 5.358
2.155 2.155 -5.358
La Al Cu
1 3 1
Cartesian
0.000 0.000 0.000
2.155 0.000 2.668
0.000 0.000 4.343
0.000 2.155 2.668
0.000 0.000 6.785
```

Top 10 peaks for 10° ≤ 2θ ≤ 90°, low angle first:
| d (Å) | Rel. int. |
| --- | --- |
| 5.358 | 29 |
| 3.999 | 38 |
| 3.048 | 53 |
| 2.750 | 100 |
| 2.649 | 90 |
| 2.155 | 51 |
| 1.919 | 38 |
| 1.696 | 46 |
| 1.433 | 29 |
| 1.321 | 20 |